1.
Calculated powder diffraction line list
Compound: LaCeSb2S4Br4
Radiation: copper Kα
Structure: a cell relaxed with PBE
Intensities are scaled so that the largest is 1000.

Structure:
```
LaCeSb2S4Br4
1.0
8.7352 0.0000 0.0000
0.0000 9.3234 0.0000
-4.2861 0.0000 17.6732
La Ce Sb S Br
4 4 8 16 16
direct
0.1219 0.1292 0.2448 La
0.1219 0.3708 0.7448 La
0.8781 0.6292 0.2552 La
0.8781 0.8708 0.7552 La
0.3870 0.6335 0.2626 Ce
0.3870 0.8665 0.7626 Ce
0.6130 0.1335 0.2374 Ce
0.6130 0.3665 0.7374 Ce
0.2734 0.5417 0.5535 Sb
0.2734 0.9583 0.0535 Sb
0.2794 0.1591 0.5633 Sb
0.2794 0.3409 0.0633 Sb
0.7206 0.6591 0.9367 Sb
0.7206 0.8409 0.4367 Sb
0.7266 0.0417 0.9465 Sb
0.7266 0.4583 0.4465 Sb
0.0736 0.1504 0.0578 S
0.0736 0.3496 0.5578 S
0.3395 0.5640 0.6915 S
0.3395 0.9360 0.1915 S
0.3432 0.1674 0.7007 S
0.3432 0.3326 0.2007 S
0.4821 0.1501 0.0601 S
0.4821 0.3499 0.5601 S
0.5179 0.6501 0.4399 S
0.5179 0.8499 0.9399 S
0.6568 0.6674 0.7993 S
0.6568 0.8326 0.2993 S
0.6605 0.0640 0.8085 S
0.6605 0.4360 0.3085 S
0.9264 0.6504 0.4422 S
0.9264 0.8496 0.9422 S
0.0832 0.6262 0.1374 Br
0.0832 0.8738 0.6374 Br
0.1580 0.6759 0.8292 Br
0.1580 0.8241 0.3292 Br
0.1613 0.0588 0.8367 Br
0.1613 0.4412 0.3367 Br
0.4448 0.1250 0.3676 Br
0.4448 0.3750 0.8676 Br
0.5552 0.6250 0.1324 Br
0.5552 0.8750 0.6324 Br
0.8387 0.5588 0.6633 Br
0.8387 0.9412 0.1633 Br
0.8420 0.1759 0.6708 Br
0.8420 0.3241 0.1708 Br
0.9168 0.1262 0.3626 Br
0.9168 0.3738 0.8626 Br
```

Largest 10 diffraction maxima, most intense first, 10° ≤ 2θ ≤ 80°:
- 29.75°, rel. 1000
- 10.01°, rel. 867
- 29.83°, rel. 788
- 35.44°, rel. 747
- 41.35°, rel. 616
- 30.43°, rel. 465
- 38.62°, rel. 443
- 24.81°, rel. 387
- 19.70°, rel. 386
- 40.64°, rel. 368



2.
Calculated powder diffraction line list
Compound: SrMgSnP2O8
Radiation: copper Kα
Structure: a cell relaxed with PBE
Intensities are scaled so that the largest is 1000.

Structure:
```
SrMgSnP2O8
1.0
5.6283 0.0000 0.0000
-0.1088 8.4118 0.0000
-2.3265 -3.2957 8.7726
Sr Mg Sn P O
2 2 2 4 16
direct
0.0594 0.2403 0.4853 Sr
0.9406 0.7597 0.5147 Sr
0.4032 0.7066 0.8908 Mg
0.5968 0.2934 0.1092 Mg
0.0362 0.8370 0.1216 Sn
0.9638 0.1630 0.8784 Sn
0.1382 0.4948 0.2314 P
0.4516 0.9923 0.7360 P
0.5484 0.0077 0.2640 P
0.8618 0.5052 0.7686 P
0.0897 0.6097 0.9016 O
0.1088 0.6896 0.2646 O
0.1269 0.4684 0.3793 O
0.2473 0.0495 0.6319 O
0.3130 0.0525 0.3209 O
0.3300 0.8390 0.7576 O
0.3734 0.4511 0.1800 O
0.4389 0.8591 0.1051 O
0.5611 0.1409 0.8949 O
0.6266 0.5489 0.8200 O
0.6700 0.1610 0.2424 O
0.6870 0.9475 0.6791 O
0.7527 0.9505 0.3681 O
0.8731 0.5316 0.6207 O
0.8912 0.3104 0.7354 O
0.9103 0.3903 0.0984 O
```

Largest 10 diffraction maxima, most intense first, 10° ≤ 2θ ≤ 80°:
- 24.50°, rel. 1000
- 26.57°, rel. 760
- 16.31°, rel. 723
- 27.58°, rel. 470
- 38.93°, rel. 254
- 11.24°, rel. 220
- 22.51°, rel. 202
- 27.87°, rel. 200
- 37.13°, rel. 191
- 44.63°, rel. 186



3.
Calculated powder diffraction line list
Compound: Er4ZnSn3
Radiation: copper Kα
Structure: a cell relaxed with PBE
Intensities are scaled so that the largest is 1000.

Structure:
```
Er4ZnSn3
1.0
4.2615 0.0000 0.0000
0.0000 4.3842 0.0000
0.0000 0.0000 11.2257
Er Zn Sn
4 1 3
direct
0.0000 0.0000 0.0000 Er
0.0000 0.5000 0.4874 Er
0.5000 0.0000 0.7171 Er
0.5000 0.5000 0.2206 Er
0.0000 0.0000 0.2715 Zn
0.0000 0.5000 0.7603 Sn
0.5000 0.0000 0.4347 Sn
0.5000 0.5000 0.9482 Sn
```

Largest 10 diffraction maxima, most intense first, 10° ≤ 2θ ≤ 80°:
- 30.31°, rel. 1000
- 38.02°, rel. 621
- 31.89°, rel. 326
- 41.18°, rel. 246
- 31.43°, rel. 233
- 70.13°, rel. 229
- 42.42°, rel. 227
- 60.60°, rel. 159
- 53.01°, rel. 158
- 38.41°, rel. 148



4.
Calculated powder diffraction line list
Compound: La3Ce2Hg3
Radiation: copper Kα
Structure: a cell relaxed with PBE
Intensities are scaled so that the largest is 1000.

Structure:
```
La3Ce2Hg3
1.0
-1.8614 2.8129 11.2873
1.8614 -2.8129 11.2873
1.8614 2.8129 -11.2873
La Ce Hg
3 2 3
direct
0.0000 0.0000 0.0000 La
0.3767 0.8767 0.5000 La
0.6233 0.1233 0.5000 La
0.2460 0.2460 0.0000 Ce
0.7540 0.7540 0.0000 Ce
0.1295 0.6295 0.5000 Hg
0.5000 0.5000 0.0000 Hg
0.8705 0.3705 0.5000 Hg
```

Largest 10 diffraction maxima, most intense first, 10° ≤ 2θ ≤ 80°:
- 32.93°, rel. 1000
- 31.81°, rel. 275
- 31.71°, rel. 271
- 57.39°, rel. 206
- 45.53°, rel. 201
- 57.26°, rel. 197
- 59.52°, rel. 184
- 69.06°, rel. 117
- 76.10°, rel. 95
- 48.93°, rel. 84